1.
Diffraction record for Nd. The XRD peak list is calculated, not measured: it uses a PBE-relaxed structure and Cu Kα (weighted mean of Kα1 and Kα2).

Principal peaks in the range 10 to 90 degrees two-theta, in order of rising 2θ:
2θ (°), I/Imax
27.95, 36
29.95, 50
30.84, 100
32.46, 85
38.79, 16
49.08, 38
52.68, 23
55.82, 18
58.58, 45
83.07, 17

Atomic structure:
```
Nd
1.0
1.856 1.072 8.949
-1.856 1.072 8.949
0.000 -2.143 8.949
Nd
3
direct
0.000 0.000 0.000
0.223 0.223 0.223
0.777 0.777 0.777
```

2.
Diffraction record for Nd. The XRD peak list is calculated, not measured: it uses a PBE-relaxed structure and Cu Kα (weighted mean of Kα1 and Kα2).

Principal peaks in the range 10 to 90 degrees two-theta, in order of rising 2θ:
2θ (°), I/Imax
29.67, 100
34.39, 51
49.42, 36
58.71, 43
61.60, 13
72.49, 6
80.22, 18
82.75, 16

Atomic structure:
```
Nd
1.0
0.000 2.608 2.608
2.608 0.000 2.608
2.608 2.608 0.000
Nd
1
direct
0.000 0.000 0.000
```

3.
Diffraction record for Nd. The XRD peak list is calculated, not measured: it uses a PBE-relaxed structure and Cu Kα (weighted mean of Kα1 and Kα2).

Principal peaks in the range 10 to 90 degrees two-theta, in order of rising 2θ:
2θ (°), I/Imax
30.59, 100
43.80, 19
54.37, 40
63.68, 12
72.29, 17
80.50, 4
88.51, 21

Atomic structure:
```
Nd
1.0
-2.067 2.067 2.067
2.067 -2.067 2.067
2.067 2.067 -2.067
Nd
1
direct
0.000 0.000 0.000
```

4.
Diffraction record for Nd. The XRD peak list is calculated, not measured: it uses a PBE-relaxed structure and Cu Kα (weighted mean of Kα1 and Kα2).

Principal peaks in the range 10 to 90 degrees two-theta, in order of rising 2θ:
2θ (°), I/Imax
28.80, 43
30.01, 34
31.66, 100
35.98, 24
49.15, 26
54.33, 22
58.67, 31
59.66, 16
80.84, 14
83.24, 16

Atomic structure:
```
Nd
1.0
3.707 0.000 0.000
-1.854 3.210 0.000
0.000 0.000 11.911
Nd
4
direct
0.000 0.000 0.000
0.000 0.000 0.500
0.333 0.667 0.250
0.667 0.333 0.750
```

5.
Diffraction record for NdNi5. The XRD peak list is calculated, not measured: it uses a PBE-relaxed structure and Cu Kα (weighted mean of Kα1 and Kα2).

Principal peaks in the range 10 to 90 degrees two-theta, in order of rising 2θ:
2θ (°), I/Imax
30.80, 46
36.23, 31
42.08, 35
43.11, 100
46.07, 26
59.97, 14
64.15, 19
69.92, 22
76.91, 16
83.24, 14

Atomic structure:
```
NdNi5
1.0
4.959 0.000 0.000
-2.479 4.294 0.000
0.000 0.000 3.941
Nd Ni
1 5
direct
0.000 0.000 0.000
0.000 0.500 0.500
0.333 0.667 0.000
0.500 0.000 0.500
0.500 0.500 0.500
0.667 0.333 0.000
```

6.
Diffraction record for NdNi2. The XRD peak list is calculated, not measured: it uses a PBE-relaxed structure and Cu Kα (weighted mean of Kα1 and Kα2).

Principal peaks in the range 10 to 90 degrees two-theta, in order of rising 2θ:
2θ (°), I/Imax
21.07, 9
34.74, 59
40.99, 100
42.90, 18
62.28, 22
66.53, 30
73.33, 23
83.77, 10
87.61, 11
88.89, 6

Atomic structure:
```
NdNi2
1.0
0.000 3.651 3.651
3.651 0.000 3.651
3.651 3.651 0.000
Nd Ni
2 4
direct
0.125 0.125 0.125
0.875 0.875 0.875
0.000 0.500 0.500
0.500 0.000 0.500
0.500 0.500 0.000
0.500 0.500 0.500
```

7.
Diffraction record for NdNi3. The XRD peak list is calculated, not measured: it uses a PBE-relaxed structure and Cu Kα (weighted mean of Kα1 and Kα2).

Principal peaks in the range 10 to 90 degrees two-theta, in order of rising 2θ:
2θ (°), I/Imax
32.64, 48
35.60, 40
35.91, 51
41.87, 41
42.23, 100
45.32, 15
45.71, 17
64.34, 15
68.88, 22
76.12, 22

Atomic structure:
```
NdNi3
1.0
2.501 1.444 8.272
-2.501 1.444 8.272
0.000 -2.888 8.272
Nd Ni
3 9
direct
0.000 0.000 0.000
0.139 0.139 0.139
0.861 0.861 0.861
0.083 0.580 0.580
0.333 0.333 0.333
0.420 0.420 0.917
0.420 0.917 0.420
0.500 0.500 0.500
0.580 0.083 0.580
0.580 0.580 0.083
0.667 0.667 0.667
0.917 0.420 0.420
```

8.
Diffraction record for Nd7Ni3. The XRD peak list is calculated, not measured: it uses a PBE-relaxed structure and Cu Kα (weighted mean of Kα1 and Kα2).

Principal peaks in the range 10 to 90 degrees two-theta, in order of rising 2θ:
2θ (°), I/Imax
27.44, 19
29.97, 43
30.90, 100
34.32, 40
35.11, 38
36.19, 31
53.79, 26
54.77, 25
55.34, 23
55.53, 16

Atomic structure:
```
Nd7Ni3
1.0
9.929 0.000 0.000
-4.964 8.598 0.000
0.000 0.000 6.358
Nd Ni
14 6
direct
0.079 0.539 0.000
0.125 0.251 0.685
0.125 0.875 0.685
0.251 0.125 0.185
0.333 0.667 0.471
0.461 0.539 0.000
0.461 0.921 0.000
0.539 0.079 0.500
0.539 0.461 0.500
0.667 0.333 0.971
0.749 0.875 0.685
0.875 0.125 0.185
0.875 0.749 0.185
0.921 0.461 0.500
0.188 0.376 0.245
0.188 0.812 0.245
0.376 0.188 0.745
0.624 0.812 0.245
0.812 0.188 0.745
0.812 0.624 0.745
```

9.
Diffraction record for Nd2Ni12P5. The XRD peak list is calculated, not measured: it uses a PBE-relaxed structure and Cu Kα (weighted mean of Kα1 and Kα2).

Principal peaks in the range 10 to 90 degrees two-theta, in order of rising 2θ:
2θ (°), I/Imax
32.19, 28
32.37, 32
34.75, 19
35.76, 80
37.71, 99
37.79, 100
42.81, 88
49.67, 83
52.15, 22
85.11, 21

Atomic structure:
```
Nd2Ni12P5
1.0
10.858 0.000 0.000
0.000 3.671 0.000
-4.057 0.000 12.511
Nd Ni P
4 24 10
direct
0.220 0.250 0.183
0.252 0.250 0.687
0.748 0.750 0.313
0.780 0.750 0.817
0.063 0.750 0.296
0.079 0.750 0.990
0.082 0.750 0.492
0.096 0.750 0.804
0.201 0.250 0.418
0.212 0.250 0.938
0.342 0.750 0.062
0.343 0.750 0.364
0.428 0.250 0.515
0.434 0.250 0.948
0.488 0.750 0.651
0.493 0.750 0.840
0.507 0.250 0.160
0.512 0.250 0.349
0.566 0.750 0.052
0.572 0.750 0.485
0.657 0.250 0.636
0.658 0.250 0.938
0.788 0.750 0.062
0.799 0.750 0.582
0.904 0.250 0.196
0.918 0.250 0.508
0.921 0.250 0.010
0.937 0.250 0.704
0.006 0.250 0.878
0.008 0.750 0.629
0.299 0.750 0.517
0.311 0.750 0.888
0.450 0.750 0.240
0.550 0.250 0.760
0.689 0.250 0.112
0.701 0.250 0.483
0.992 0.250 0.371
0.994 0.750 0.122
```

10.
Diffraction record for NdNiP. The XRD peak list is calculated, not measured: it uses a PBE-relaxed structure and Cu Kα (weighted mean of Kα1 and Kα2).

Principal peaks in the range 10 to 90 degrees two-theta, in order of rising 2θ:
2θ (°), I/Imax
25.80, 25
34.17, 100
44.92, 12
45.50, 34
52.53, 8
58.11, 21
65.85, 22
75.91, 10
76.75, 19
84.09, 6

Atomic structure:
```
NdNiP
1.0
3.987 0.000 0.000
-1.994 3.453 0.000
0.000 0.000 16.143
Nd Ni P
4 4 4
direct
0.000 0.000 0.000
0.000 0.000 0.250
0.000 0.000 0.500
0.000 0.000 0.750
0.333 0.667 0.126
0.333 0.667 0.374
0.667 0.333 0.626
0.667 0.333 0.874
0.333 0.667 0.625
0.333 0.667 0.875
0.667 0.333 0.125
0.667 0.333 0.375
```

11.
Diffraction record for Nd2Ni12P7. The XRD peak list is calculated, not measured: it uses a PBE-relaxed structure and Cu Kα (weighted mean of Kα1 and Kα2).

Principal peaks in the range 10 to 90 degrees two-theta, in order of rising 2θ:
2θ (°), I/Imax
26.43, 10
30.00, 10
38.68, 100
46.06, 10
48.25, 10
48.83, 19
53.26, 14
56.56, 11
75.14, 10
84.42, 10

Atomic structure:
```
Nd2Ni12P7
1.0
9.096 0.000 0.000
0.000 3.730 0.000
-4.539 0.000 7.886
Nd Ni P
2 12 7
direct
0.000 0.000 0.000
0.333 0.500 0.667
0.042 0.500 0.768
0.092 0.000 0.382
0.232 0.500 0.275
0.288 0.000 0.907
0.453 0.000 0.239
0.519 0.500 0.061
0.542 0.500 0.481
0.618 0.000 0.711
0.725 0.500 0.958
0.761 0.000 0.215
0.785 0.000 0.547
0.938 0.500 0.458
0.067 0.000 0.631
0.265 0.500 0.040
0.369 0.000 0.436
0.564 0.000 0.933
0.666 0.500 0.333
0.774 0.500 0.735
0.960 0.500 0.225
```

What did the fifth record say?
Diffraction record for NdNi5. The XRD peak list is calculated, not measured: it uses a PBE-relaxed structure and Cu Kα (weighted mean of Kα1 and Kα2).

Principal peaks in the range 10 to 90 degrees two-theta, in order of rising 2θ:
2θ (°), I/Imax
30.80, 46
36.23, 31
42.08, 35
43.11, 100
46.07, 26
59.97, 14
64.15, 19
69.92, 22
76.91, 16
83.24, 14

Atomic structure:
```
NdNi5
1.0
4.959 0.000 0.000
-2.479 4.294 0.000
0.000 0.000 3.941
Nd Ni
1 5
direct
0.000 0.000 0.000
0.000 0.500 0.500
0.333 0.667 0.000
0.500 0.000 0.500
0.500 0.500 0.500
0.667 0.333 0.000
```

Copy entry 1 word for word.
Diffraction record for Nd. The XRD peak list is calculated, not measured: it uses a PBE-relaxed structure and Cu Kα (weighted mean of Kα1 and Kα2).

Principal peaks in the range 10 to 90 degrees two-theta, in order of rising 2θ:
2θ (°), I/Imax
27.95, 36
29.95, 50
30.84, 100
32.46, 85
38.79, 16
49.08, 38
52.68, 23
55.82, 18
58.58, 45
83.07, 17

Atomic structure:
```
Nd
1.0
1.856 1.072 8.949
-1.856 1.072 8.949
0.000 -2.143 8.949
Nd
3
direct
0.000 0.000 0.000
0.223 0.223 0.223
0.777 0.777 0.777
```

Repeat the seventh record exactly.
Diffraction record for NdNi3. The XRD peak list is calculated, not measured: it uses a PBE-relaxed structure and Cu Kα (weighted mean of Kα1 and Kα2).

Principal peaks in the range 10 to 90 degrees two-theta, in order of rising 2θ:
2θ (°), I/Imax
32.64, 48
35.60, 40
35.91, 51
41.87, 41
42.23, 100
45.32, 15
45.71, 17
64.34, 15
68.88, 22
76.12, 22

Atomic structure:
```
NdNi3
1.0
2.501 1.444 8.272
-2.501 1.444 8.272
0.000 -2.888 8.272
Nd Ni
3 9
direct
0.000 0.000 0.000
0.139 0.139 0.139
0.861 0.861 0.861
0.083 0.580 0.580
0.333 0.333 0.333
0.420 0.420 0.917
0.420 0.917 0.420
0.500 0.500 0.500
0.580 0.083 0.580
0.580 0.580 0.083
0.667 0.667 0.667
0.917 0.420 0.420
```